Starting from a DFT-relaxed cell (PBE, Alexandria), the XRD peak list of PrSi4Pd12 was simulated for a wavelength of 1.5418 Å.
Kinematic intensities with the Lorentz-polarization factor, no thermal factor.

Atomic structure:
Lattice parameters (Å, degrees): 8.4066 8.4066 8.4066 90.00 90.00 90.00
Space group Im-3 (No. 204)
Asymmetric unit:
Pr1 0.0000 0.0000 0.0000 [2 per cell]
Si1 0.2500 0.2500 0.2500 [8 per cell]
Pd1 0.0000 0.3402 0.1671 [24 per cell]

Principal peaks in the range 2θ from 15° to 90°, in order of rising 2θ:
d (Å), Position (°2θ), I_rel, (hkl)
2.658, 33.72, 100, 3 0 1
2.247, 40.13, 47, 3 1 2
1.716, 53.39, 16, 4 2 2
1.649, 55.76, 23, 4 3 1
1.401, 66.76, 14, 6 0 0
1.239, 76.92, 17, 6 1 3

Starting from a DFT-relaxed cell (PBE, Alexandria), the XRD peak list of Pm5Pr2Ga4 was simulated for a wavelength of 1.5418 Å.
Kinematic intensities with the Lorentz-polarization factor, no thermal factor.

Atomic structure:
Lattice parameters (Å, degrees): 26.1502 3.5399 7.2192 90.00 90.64 90.00
Space group C2/m (No. 12)
Asymmetric unit:
Pm1 0.0000 0.0000 0.0000 [2 per cell]
Pm2 0.1336 0.5000 0.1876 [4 per cell]
Pm3 0.2339 0.5000 0.7719 [4 per cell]
Pr1 0.0946 0.5000 0.6965 [4 per cell]
Ga1 0.0248 0.5000 0.3477 [4 per cell]
Ga2 0.1770 0.0000 0.4922 [4 per cell]

Principal peaks in the range 2θ from 15° to 90°, in order of rising 2θ:
d (Å), Position (°2θ), I_rel, (hkl)
3.508, 25.39, 22, 1 1 0
3.272, 27.26, 25, 8 0 0
2.986, 29.92, 100, 8 0 -1
2.765, 32.38, 41, 6 0 2
2.515, 35.71, 46, 1 1 2
2.434, 36.93, 24, 8 0 -2

Starting from a DFT-relaxed cell (PBE, Alexandria), the XRD peak list of CaZnSbH was simulated for a wavelength of 1.5418 Å.
Kinematic intensities with the Lorentz-polarization factor, no thermal factor.

Atomic structure:
Lattice parameters (Å, degrees): 4.3864 4.3864 30.6569 90.00 90.00 120.00
Space group R-3m (No. 166, hexagonal axes)
Asymmetric unit:
Ca1 0.0000 0.0000 0.0000 [3 per cell]
Ca2 0.0000 0.0000 0.5000 [3 per cell]
Zn1 0.0000 0.0000 0.2402 [6 per cell]
Sb1 0.0000 0.0000 0.3976 [6 per cell]
H1 0.0000 0.0000 0.1841 [6 per cell]

Principal peaks in the range 2θ from 15° to 90°, in order of rising 2θ:
d (Å), Position (°2θ), I_rel, (hkl)
5.109, 17.36, 62, 0 0 6
3.770, 23.60, 60, 1 0 1
3.229, 27.62, 100, 0 1 5
2.698, 33.21, 71, 0 1 8
2.193, 41.16, 91, 1 1 0
2.015, 44.98, 34, 1 1 6

Starting from a DFT-relaxed cell (PBE, Alexandria), the XRD peak list of ZrSc2Zn8 was simulated for a wavelength of 1.5418 Å.
Kinematic intensities with the Lorentz-polarization factor, no thermal factor.

Atomic structure:
Lattice parameters (Å, degrees): 7.3137 14.0214 4.6858 90.00 129.74 90.00
Space group C2/m (No. 12)
Asymmetric unit:
Zr1 0.0000 0.0000 0.0000 [2 per cell]
Sc1 0.0000 0.3124 0.5000 [4 per cell]
Zn1 0.0000 0.2017 0.0000 [4 per cell]
Zn2 0.0006 0.5000 0.2541 [4 per cell]
Zn3 0.2275 0.1251 0.7283 [8 per cell]

Principal peaks in the range 2θ from 15° to 90°, in order of rising 2θ:
d (Å), Position (°2θ), I_rel, (hkl)
2.406, 37.37, 100, 1 5 -1
2.376, 37.86, 95, 1 1 1
2.343, 38.42, 37, 2 0 -2
2.193, 41.16, 87, 2 4 0
2.143, 42.17, 44, 3 3 -1
2.137, 42.28, 38, 3 1 -2

Starting from a DFT-relaxed cell (PBE, Alexandria), the XRD peak list of NaS2Cl6 was simulated for a wavelength of 1.5418 Å.
Kinematic intensities with the Lorentz-polarization factor, no thermal factor.

Atomic structure:
Lattice parameters (Å, degrees): 6.9328 6.9328 20.8841 90.00 90.00 120.00
Space group R3 (No. 146, hexagonal axes)
Asymmetric unit:
Na1 0.0000 0.0000 0.0000 [3 per cell]
S1 0.0000 0.0000 0.5902 [3 per cell]
S2 0.0000 0.0000 0.7421 [3 per cell]
Cl1 0.0009 0.3219 0.5879 [9 per cell]
Cl2 0.0127 0.6687 0.4110 [9 per cell]

Principal peaks in the range 2θ from 15° to 90°, in order of rising 2θ:
d (Å), Position (°2θ), I_rel, (hkl)
5.770, 15.36, 27, 1 0 1
3.481, 25.59, 43, 0 0 6
3.103, 28.77, 100, 1 1 3
2.001, 45.31, 32, 3 0 0
1.928, 47.13, 20, 2 -1 9
1.735, 52.76, 25, 3 0 6

Starting from a DFT-relaxed cell (PBE, Alexandria), the XRD peak list of Sc6NbAl5 was simulated for a wavelength of 1.5418 Å.
Kinematic intensities with the Lorentz-polarization factor, no thermal factor.

Atomic structure:
Lattice parameters (Å, degrees): 4.8066 6.7792 14.4663 90.00 90.00 90.00
Space group Immm (No. 71)
Asymmetric unit:
Sc1 0.0000 0.2501 0.0000 [4 per cell]
Sc2 0.0000 0.2497 0.3333 [8 per cell]
Nb1 0.0000 0.0000 0.5000 [2 per cell]
Al1 0.0000 0.0000 0.1667 [4 per cell]
Al2 0.0000 0.5000 0.1592 [4 per cell]
Al3 0.0000 0.5000 0.5000 [2 per cell]

Principal peaks in the range 2θ from 15° to 90°, in order of rising 2θ:
d (Å), Position (°2θ), I_rel, (hkl)
2.411, 37.29, 20, 0 0 6
2.402, 37.44, 100, 2 0 0
1.702, 53.86, 13, 2 0 6
1.390, 67.35, 13, 1 2 9
1.387, 67.53, 19, 3 2 3
1.201, 79.86, 10, 4 0 0

Starting from a DFT-relaxed cell (PBE, Alexandria), the XRD peak list of Ni4PtRh3 was simulated for a wavelength of 1.5418 Å.
Kinematic intensities with the Lorentz-polarization factor, no thermal factor.

Atomic structure:
Lattice parameters (Å, degrees): 17.6207 2.6787 4.5763 90.00 104.46 90.00
Space group C2/m (No. 12)
Asymmetric unit:
Ni1 0.1292 0.0000 0.2941 [4 per cell]
Ni2 0.2482 0.5000 0.2583 [4 per cell]
Pt1 0.0000 0.0000 0.5000 [2 per cell]
Rh1 0.0000 0.5000 0.0000 [2 per cell]
Rh2 0.1327 0.5000 0.7962 [4 per cell]

Principal peaks in the range 2θ from 15° to 90°, in order of rising 2θ:
d (Å), Position (°2θ), I_rel, (hkl)
2.234, 40.37, 49, 1 1 1
2.204, 40.94, 24, 4 0 -2
2.133, 42.38, 53, 8 0 0
2.037, 44.48, 50, 3 1 1
2.027, 44.71, 100, 5 1 -1
1.790, 51.02, 28, 4 0 2

Starting from a DFT-relaxed cell (PBE, Alexandria), the XRD peak list of Cd2Si3 was simulated for a wavelength of 1.5418 Å.
Kinematic intensities with the Lorentz-polarization factor, no thermal factor.

Atomic structure:
Lattice parameters (Å, degrees): 3.6432 3.6432 26.7761 90.00 90.00 120.00
Space group R-3m (No. 166, hexagonal axes)
Asymmetric unit:
Cd1 0.0000 0.0000 0.0967 [6 per cell]
Si1 0.0000 0.0000 0.3137 [6 per cell]
Si2 0.0000 0.0000 0.5000 [3 per cell]

Principal peaks in the range 2θ from 15° to 90°, in order of rising 2θ:
d (Å), Position (°2θ), I_rel, (hkl)
4.463, 19.90, 19, 0 0 6
3.133, 28.49, 29, 1 0 1
2.854, 31.34, 26, 1 0 4
2.718, 32.95, 100, 0 1 5
2.042, 44.37, 38, 1 0 10
1.822, 50.07, 31, 1 1 0

Starting from a DFT-relaxed cell (PBE, Alexandria), the XRD peak list of Ca2Mg2Ga was simulated for a wavelength of 1.5418 Å.
Kinematic intensities with the Lorentz-polarization factor, no thermal factor.

Atomic structure:
Lattice parameters (Å, degrees): 7.3439 7.3439 5.2249 90.00 90.00 90.00
Space group P4/mbm (No. 127)
Asymmetric unit:
Ca1 0.1777 0.3223 0.0000 [4 per cell]
Mg1 0.1399 0.6399 0.5000 [4 per cell]
Ga1 0.0000 0.0000 0.5000 [2 per cell]

Principal peaks in the range 2θ from 15° to 90°, in order of rising 2θ:
d (Å), Position (°2θ), I_rel, (hkl)
3.683, 24.16, 51, 1 1 1
3.004, 29.74, 85, 2 0 1
2.781, 32.19, 100, 2 1 1
2.612, 34.33, 47, 0 0 2
2.323, 38.77, 64, 3 1 0
1.736, 52.74, 45, 3 1 2

Starting from a DFT-relaxed cell (PBE, Alexandria), the XRD peak list of La4PrS6 was simulated for a wavelength of 1.5418 Å.
Kinematic intensities with the Lorentz-polarization factor, no thermal factor.

Atomic structure:
Lattice parameters (Å, degrees): 4.0560 13.7222 20.7328 90.00 90.00 90.00
Space group Cmcm (No. 63)
Asymmetric unit:
La1 0.0000 0.0912 0.1305 [8 per cell]
La2 0.0000 0.3614 0.0412 [8 per cell]
Pr1 0.0000 0.1542 0.7500 [4 per cell]
S1 0.0000 0.0000 0.0000 [4 per cell]
S2 0.0000 0.1976 0.2500 [4 per cell]
S3 0.0000 0.2704 0.5907 [8 per cell]
S4 0.0000 0.4484 0.1694 [8 per cell]

Principal peaks in the range 2θ from 15° to 90°, in order of rising 2θ:
d (Å), Position (°2θ), I_rel, (hkl)
3.549, 25.09, 100, 0 2 5
3.389, 26.30, 48, 1 1 3
3.003, 29.75, 32, 1 3 1
2.912, 30.70, 80, 1 3 2
2.779, 32.22, 52, 1 3 3
2.158, 41.87, 58, 1 1 8

Starting from a DFT-relaxed cell (PBE, Alexandria), the XRD peak list of PrAuSe2 was simulated for a wavelength of 1.5418 Å.
Kinematic intensities with the Lorentz-polarization factor, no thermal factor.

Atomic structure:
Lattice parameters (Å, degrees): 6.4548 7.5314 8.2102 90.00 90.00 90.00
Space group Pbcm (No. 57)
Asymmetric unit:
Pr1 0.1703 0.0367 0.2500 [4 per cell]
Au1 0.4990 0.7500 0.0000 [4 per cell]
Se1 0.0759 0.7500 0.0000 [4 per cell]
Se2 0.3732 0.0858 0.7500 [4 per cell]

Principal peaks in the range 2θ from 15° to 90°, in order of rising 2θ:
d (Å), Position (°2θ), I_rel, (hkl)
3.253, 27.42, 20, 1 2 0
2.790, 32.08, 35, 2 1 1
2.775, 32.26, 100, 0 2 2
2.537, 35.38, 42, 2 0 2
2.451, 36.67, 36, 2 2 0
2.053, 44.12, 27, 0 0 4

Starting from a DFT-relaxed cell (PBE, Alexandria), the XRD peak list of Pm5PrNd5 was simulated for a wavelength of 1.5418 Å.
Kinematic intensities with the Lorentz-polarization factor, no thermal factor.

Atomic structure:
Lattice parameters (Å, degrees): 7.0780 7.0900 8.6821 75.74 76.30 71.11
Space group P-1 (No. 2)
Asymmetric unit:
Pm1 0.0000 0.0000 0.0000 [1 per cell]
Pm2 0.1909 0.7013 0.3547 [2 per cell]
Pm3 0.2753 0.3539 0.7125 [2 per cell]
Pr1 0.5000 0.0000 0.0000 [1 per cell]
Nd1 0.1419 0.2374 0.2778 [2 per cell]
Nd2 0.3535 0.8553 0.6436 [2 per cell]
Nd3 0.5000 0.5000 0.0000 [1 per cell]

Principal peaks in the range 2θ from 15° to 90°, in order of rising 2θ:
d (Å), Position (°2θ), I_rel, (hkl)
2.899, 30.84, 52, 2 0 -1
2.883, 31.02, 100, 2 2 1
2.849, 31.40, 62, 0 2 2
2.828, 31.63, 60, 2 0 2
2.763, 32.40, 38, 0 0 3
2.060, 43.96, 16, 2 -2 0

Starting from a DFT-relaxed cell (PBE, Alexandria), the XRD peak list of PaSbH2O6 was simulated for a wavelength of 1.5418 Å.
Kinematic intensities with the Lorentz-polarization factor, no thermal factor.

Atomic structure:
Lattice parameters (Å, degrees): 5.0364 5.0999 5.6790 69.23 65.18 66.28
Space group P-1 (No. 2)
Asymmetric unit:
Pa1 0.0000 0.0000 0.0000 [1 per cell]
Sb1 0.5000 0.5000 0.5000 [1 per cell]
H1 0.1873 0.3930 0.2884 [2 per cell]
O1 0.1211 0.7396 0.7291 [2 per cell]
O2 0.2584 0.5605 0.2599 [2 per cell]
O3 0.3838 0.1459 0.7447 [2 per cell]

Principal peaks in the range 2θ from 15° to 90°, in order of rising 2θ:
d (Å), Position (°2θ), I_rel, (hkl)
3.996, 22.25, 100, 1 0 1
3.825, 23.25, 90, 0 1 1
3.760, 23.67, 83, 1 1 0
3.051, 29.28, 48, 0 1 -1
2.867, 31.20, 39, 1 0 -1
2.763, 32.40, 69, 1 1 2